Starting from a PBE-relaxed structure, the powder XRD pattern of Sr2TiSi2O8 was simulated for Cu Kα.
Lines closer than 0.1° are merged.

Atomic structure:
abc: 8.4882 8.4882 5.1087
angles: 90.00 90.00 90.00
Element x y z (fractional)
Sr 0.1734 0.3266 0.0000
Sr 0.3266 0.8266 0.0000
Sr 0.6734 0.1734 0.0000
Sr 0.8266 0.6734 0.0000
Ti 0.0000 0.0000 0.5565
Ti 0.5000 0.5000 0.5565
Si 0.1294 0.6294 0.5327
Si 0.3706 0.1294 0.5327
Si 0.6294 0.8706 0.5327
Si 0.8706 0.3706 0.5327
O 0.0000 0.0000 0.2223
O 0.0000 0.5000 0.6586
O 0.0806 0.7947 0.6758
O 0.1282 0.6282 0.2186
O 0.2053 0.0806 0.6758
O 0.2947 0.5806 0.6758
O 0.3718 0.1282 0.2186
O 0.4194 0.2947 0.6758
O 0.5000 0.0000 0.6586
O 0.5000 0.5000 0.2223
O 0.5806 0.7053 0.6758
O 0.6282 0.8718 0.2186
O 0.7053 0.4194 0.6758
O 0.7947 0.9194 0.6758
O 0.8718 0.3718 0.2186
O 0.9194 0.2053 0.6758

Main lines, by angle (2θ from 10° to 90°):
2theta  intensity
27.32  42
29.31  100
33.38  28
35.13  13
42.66  21
43.98  18
47.62  16
48.89  12
49.24  14
59.49  11

Starting from a PBE-relaxed structure, the powder XRD pattern of SrTiSi2O7 was simulated for Cu Kα.
Lines closer than 0.1° are merged.

Atomic structure:
abc: 7.8283 7.8283 7.1484
angles: 90.00 90.00 139.56
Element x y z (fractional)
Sr 0.1988 0.8012 0.7500
Sr 0.8012 0.1988 0.2500
Ti 0.1090 0.8910 0.2500
Ti 0.8910 0.1090 0.7500
Si 0.3916 0.6084 0.0250
Si 0.3916 0.6084 0.4750
Si 0.6084 0.3916 0.5250
Si 0.6084 0.3916 0.9750
O 0.0053 0.9947 0.7500
O 0.0967 0.4038 0.5616
O 0.0967 0.4038 0.9384
O 0.3614 0.6386 0.2500
O 0.4038 0.0967 0.0616
O 0.4038 0.0967 0.4384
O 0.5000 0.5000 0.0000
O 0.5000 0.5000 0.5000
O 0.5962 0.9033 0.5616
O 0.5962 0.9033 0.9384
O 0.6386 0.3614 0.7500
O 0.9033 0.5962 0.0616
O 0.9033 0.5962 0.4384
O 0.9947 0.0053 0.2500

Main lines, by angle (2θ from 10° to 90°):
2theta  intensity
24.23  32
27.30  29
27.55  89
30.59  100
33.11  37
34.74  22
41.88  33
43.43  30
45.37  22
48.22  22

Starting from a PBE-relaxed structure, the powder XRD pattern of SrY2Si3O10 was simulated for Cu Kα.
Lines closer than 0.1° are merged.

Atomic structure:
abc: 6.8391 6.9806 9.3928
angles: 72.49 86.20 87.80
Element x y z (fractional)
Sr 0.0992 0.4068 0.3181
Sr 0.9008 0.5932 0.6819
Y 0.3407 0.2365 0.6904
Y 0.3589 0.7465 0.9912
Y 0.6411 0.2535 0.0088
Y 0.6593 0.7635 0.3096
Si 0.1658 0.8585 0.3308
Si 0.1733 0.2268 0.0419
Si 0.3774 0.7548 0.6256
Si 0.6226 0.2452 0.3744
Si 0.8267 0.7732 0.9581
Si 0.8342 0.1415 0.6692
O 0.0299 0.2764 0.6205
O 0.0336 0.7106 0.0331
O 0.1192 0.0864 0.2201
O 0.2393 0.8853 0.4869
O 0.2682 0.5446 0.7128
O 0.3184 0.4001 0.0643
O 0.3224 0.1031 0.9536
O 0.3311 0.7421 0.2492
O 0.3816 0.8929 0.7400
O 0.4117 0.2914 0.4492
O 0.5883 0.7086 0.5508
O 0.6184 0.1071 0.2600
O 0.6689 0.2579 0.7508
O 0.6776 0.8969 0.0464
O 0.6816 0.5999 0.9357
O 0.7318 0.4554 0.2872
O 0.7607 0.1147 0.5131
O 0.8808 0.9136 0.7799
O 0.9664 0.2894 0.9669
O 0.9701 0.7236 0.3795

Main lines, by angle (2θ from 10° to 90°):
2theta  intensity
26.79  62
27.44  66
28.25  41
28.53  35
28.96  31
29.32  26
29.64  32
29.98  100
32.12  34
48.95  28

Starting from a PBE-relaxed structure, the powder XRD pattern of SrZrSi2O7 was simulated for Cu Kα.
Lines closer than 0.1° are merged.

Atomic structure:
abc: 7.8579 8.2048 10.1937
angles: 90.00 111.78 90.00
Element x y z (fractional)
Sr 0.2169 0.0173 0.2071
Sr 0.2169 0.4827 0.7071
Sr 0.7831 0.5173 0.2929
Sr 0.7831 0.9827 0.7929
Zr 0.2438 0.0111 0.7530
Zr 0.2438 0.4889 0.2530
Zr 0.7562 0.5111 0.7470
Zr 0.7562 0.9889 0.2470
Si 0.1745 0.7150 0.9589
Si 0.1745 0.7850 0.4589
Si 0.4357 0.2490 0.5425
Si 0.4357 0.2510 0.0425
Si 0.5643 0.7490 0.9575
Si 0.5643 0.7510 0.4575
Si 0.8255 0.2150 0.5411
Si 0.8255 0.2850 0.0411
O 0.0252 0.5927 0.8493
O 0.0252 0.9073 0.3493
O 0.1298 0.5948 0.4042
O 0.1298 0.9052 0.9042
O 0.1953 0.7054 0.1239
O 0.1953 0.7946 0.6239
O 0.3116 0.2287 0.8756
O 0.3116 0.2713 0.3756
O 0.3290 0.1345 0.6169
O 0.3290 0.3655 0.1169
O 0.3671 0.6568 0.9372
O 0.3671 0.8432 0.4372
O 0.4878 0.0793 0.1311
O 0.4878 0.4207 0.6311
O 0.5122 0.5793 0.3689
O 0.5122 0.9207 0.8689
O 0.6329 0.1568 0.5628
O 0.6329 0.3432 0.0628
O 0.6710 0.6345 0.8831
O 0.6710 0.8655 0.3831
O 0.6884 0.7287 0.6244
O 0.6884 0.7713 0.1244
O 0.8047 0.2054 0.3761
O 0.8047 0.2946 0.8761
O 0.8702 0.0948 0.0958
O 0.8702 0.4052 0.5958
O 0.9748 0.0927 0.6507
O 0.9748 0.4073 0.1507

Main lines, by angle (2θ from 10° to 90°):
2theta  intensity
18.75  31
21.67  33
24.40  48
24.67  33
28.80  100
32.85  27
33.06  36
36.81  18
43.12  23
44.17  19